The following is a calculated powder XRD pattern of MnCuAsS4. It was derived from a DFT-relaxed cell (GGA-PBE, Alexandria), using a wavelength of 1.5418 Å.
Intensities are scaled so that the largest is 100.

Structure:
a = 7.118 Å, b = 7.118 Å, c = 7.118 Å
α = 120.23°, β = 120.15°, γ = 89.67°
Atoms (fractional coordinates):
1 Mn 0.000 0.000 0.000
2 Mn 0.500 0.000 0.500
3 Cu 0.372 0.622 0.750
4 Cu 0.628 0.378 0.250
5 As 0.000 0.000 0.500
6 As 0.000 0.500 0.000
7 S 0.234 0.233 0.001
8 S 0.249 0.228 0.480
9 S 0.249 0.769 0.020
10 S 0.268 0.767 0.501
11 S 0.732 0.233 0.499
12 S 0.751 0.231 0.980
13 S 0.751 0.772 0.520
14 S 0.766 0.767 0.999

Largest 10 diffraction maxima, sorted by position, 2θ from 10° to 90°:
2θ (°)  d_spacing  I/Imax
25.0  3.556  42
29.4  3.041  45
29.5  3.028  100
35.6  2.524  20
35.8  2.509  41
46.8  1.942  19
47.0  1.934  25
47.0  1.932  18
51.3  1.780  77
51.5  1.774  39


The following is a calculated powder XRD pattern of PmCu2AsN. It was derived from a DFT-relaxed cell (GGA-PBE, Alexandria), using a wavelength of 1.5418 Å.
Intensities are scaled so that the largest is 100.

Structure:
a = 6.231 Å, b = 6.231 Å, c = 7.051 Å
α = 90.00°, β = 90.00°, γ = 146.02°
Atoms (fractional coordinates):
1 Pm 0.033 0.967 0.750
2 Pm 0.967 0.033 0.250
3 Cu 0.338 0.662 0.556
4 Cu 0.338 0.662 0.944
5 Cu 0.662 0.338 0.056
6 Cu 0.662 0.338 0.444
7 As 0.239 0.761 0.250
8 As 0.761 0.239 0.750
9 N 0.500 0.500 0.000
10 N 0.500 0.500 0.500

Largest 10 diffraction maxima, sorted by position, 2θ from 10° to 90°:
2θ (°)  d_spacing  I/Imax
32.6  2.745  40
33.4  2.685  69
35.8  2.509  60
36.3  2.478  100
39.6  2.276  41
46.6  1.948  23
50.1  1.821  29
61.1  1.517  21
61.5  1.507  28
65.7  1.422  18


The following is a calculated powder XRD pattern of NaCu6As4. It was derived from a DFT-relaxed cell (GGA-PBE, Alexandria), using a wavelength of 1.5418 Å.
Intensities are scaled so that the largest is 100.

Structure:
a = 7.153 Å, b = 7.153 Å, c = 3.930 Å
α = 90.00°, β = 90.00°, γ = 120.00°
Atoms (fractional coordinates):
1 Na 0.000 0.000 0.000
2 Cu 0.206 0.412 0.500
3 Cu 0.206 0.794 0.500
4 Cu 0.543 0.085 0.000
5 Cu 0.543 0.457 0.000
6 Cu 0.588 0.794 0.500
7 Cu 0.915 0.457 0.000
8 As 0.333 0.667 0.000
9 As 0.369 0.184 0.500
10 As 0.816 0.184 0.500
11 As 0.816 0.631 0.500

Largest 10 diffraction maxima, sorted by position, 2θ from 10° to 90°:
2θ (°)  d_spacing  I/Imax
14.3  6.195  37
33.9  2.645  29
37.0  2.433  83
38.4  2.341  27
43.8  2.065  19
45.1  2.011  100
46.2  1.965  36
51.1  1.788  28
71.3  1.323  20
81.5  1.182  20


The following is a calculated powder XRD pattern of Na3Cu4As4. It was derived from a DFT-relaxed cell (GGA-PBE, Alexandria), using a wavelength of 1.5418 Å.
Intensities are scaled so that the largest is 100.

Structure:
a = 7.886 Å, b = 7.886 Å, c = 7.886 Å
α = 148.68°, β = 130.08°, γ = 60.12°
Atoms (fractional coordinates):
1 Na 0.000 0.000 0.000
2 Na 0.377 0.877 0.500
3 Na 0.623 0.123 0.500
4 Cu 0.019 0.327 0.692
5 Cu 0.365 0.673 0.692
6 Cu 0.635 0.327 0.308
7 Cu 0.981 0.673 0.308
8 As 0.222 0.222 0.000
9 As 0.314 0.500 0.814
10 As 0.686 0.500 0.186
11 As 0.778 0.778 0.000

Largest 10 diffraction maxima, sorted by position, 2θ from 10° to 90°:
2θ (°)  d_spacing  I/Imax
13.0  6.826  35
21.9  4.064  57
23.7  3.756  39
34.8  2.575  75
36.3  2.472  65
39.6  2.273  43
42.5  2.129  55
45.5  1.994  28
48.1  1.891  100
80.7  1.191  23


The following is a calculated powder XRD pattern of Na6CuAs2. It was derived from a DFT-relaxed cell (GGA-PBE, Alexandria), using a wavelength of 1.5418 Å.
Intensities are scaled so that the largest is 100.

Structure:
a = 9.940 Å, b = 9.940 Å, c = 9.940 Å
α = 29.92°, β = 29.92°, γ = 29.92°
Atoms (fractional coordinates):
1 Na 0.077 0.077 0.077
2 Na 0.200 0.200 0.200
3 Na 0.311 0.311 0.311
4 Na 0.689 0.689 0.689
5 Na 0.800 0.800 0.800
6 Na 0.923 0.923 0.923
7 Cu 0.500 0.500 0.500
8 As 0.417 0.417 0.417
9 As 0.583 0.583 0.583

Largest 10 diffraction maxima, sorted by position, 2θ from 10° to 90°:
2θ (°)  d_spacing  I/Imax
20.2  4.392  78
20.9  4.243  27
32.2  2.778  17
35.0  2.566  100
37.5  2.397  33
40.3  2.236  20
40.7  2.216  13
52.5  1.742  21
62.7  1.482  17
64.4  1.447  12


The following is a calculated powder XRD pattern of Na5CuAs2. It was derived from a DFT-relaxed cell (GGA-PBE, Alexandria), using a wavelength of 1.5418 Å.
Intensities are scaled so that the largest is 100.

Structure:
a = 5.102 Å, b = 5.102 Å, c = 17.432 Å
α = 90.00°, β = 90.00°, γ = 120.00°
Atoms (fractional coordinates):
1 Na 0.000 0.000 0.141
2 Na 0.000 0.000 0.359
3 Na 0.000 0.000 0.641
4 Na 0.000 0.000 0.859
5 Na 0.333 0.667 0.052
6 Na 0.333 0.667 0.250
7 Na 0.333 0.667 0.448
8 Na 0.667 0.333 0.552
9 Na 0.667 0.333 0.750
10 Na 0.667 0.333 0.948
11 Cu 0.333 0.667 0.750
12 Cu 0.667 0.333 0.250
13 As 0.333 0.667 0.618
14 As 0.333 0.667 0.882
15 As 0.667 0.333 0.118
16 As 0.667 0.333 0.382

Largest 10 diffraction maxima, sorted by position, 2θ from 10° to 90°:
2θ (°)  d_spacing  I/Imax
20.1  4.419  35
20.7  4.283  86
35.2  2.551  100
37.0  2.428  16
41.2  2.192  14
41.6  2.170  37
55.5  1.657  23
55.6  1.653  15
63.1  1.473  17
67.5  1.387  17


The following is a calculated powder XRD pattern of Na3Cu2As2. It was derived from a DFT-relaxed cell (GGA-PBE, Alexandria), using a wavelength of 1.5418 Å.
Intensities are scaled so that the largest is 100.

Structure:
a = 5.567 Å, b = 8.155 Å, c = 12.752 Å
α = 90.00°, β = 90.00°, γ = 90.00°
Atoms (fractional coordinates):
1 Na 0.116 0.140 0.111
2 Na 0.116 0.140 0.389
3 Na 0.116 0.360 0.611
4 Na 0.116 0.360 0.889
5 Na 0.333 0.721 0.750
6 Na 0.333 0.779 0.250
7 Na 0.667 0.221 0.750
8 Na 0.667 0.279 0.250
9 Na 0.884 0.640 0.111
10 Na 0.884 0.640 0.389
11 Na 0.884 0.860 0.611
12 Na 0.884 0.860 0.889
13 Cu 0.397 0.024 0.587
14 Cu 0.397 0.024 0.913
15 Cu 0.397 0.476 0.087
16 Cu 0.397 0.476 0.413
17 Cu 0.603 0.524 0.587
18 Cu 0.603 0.524 0.913
19 Cu 0.603 0.976 0.087
20 Cu 0.603 0.976 0.413
21 As 0.187 0.066 0.750
22 As 0.187 0.434 0.250
23 As 0.390 0.750 0.000
24 As 0.390 0.750 0.500
25 As 0.610 0.250 0.000
26 As 0.610 0.250 0.500
27 As 0.813 0.566 0.750
28 As 0.813 0.934 0.250

Largest 10 diffraction maxima, sorted by position, 2θ from 10° to 90°:
2θ (°)  d_spacing  I/Imax
15.9  5.567  72
20.5  4.326  100
21.2  4.194  83
34.0  2.634  31
34.5  2.602  21
36.8  2.443  47
39.4  2.289  56
40.3  2.239  94
47.5  1.914  24
48.3  1.885  33


The following is a calculated powder XRD pattern of Na2Cu6As3. It was derived from a DFT-relaxed cell (GGA-PBE, Alexandria), using a wavelength of 1.5418 Å.
Intensities are scaled so that the largest is 100.

Structure:
a = 7.272 Å, b = 7.272 Å, c = 4.096 Å
α = 90.00°, β = 90.00°, γ = 120.00°
Atoms (fractional coordinates):
1 Na 0.333 0.667 0.000
2 Na 0.667 0.333 0.000
3 Cu 0.000 0.288 0.500
4 Cu 0.000 0.802 0.000
5 Cu 0.198 0.198 0.000
6 Cu 0.288 0.000 0.500
7 Cu 0.712 0.712 0.500
8 Cu 0.802 0.000 0.000
9 As 0.000 0.632 0.500
10 As 0.368 0.368 0.500
11 As 0.632 0.000 0.500

Largest 10 diffraction maxima, sorted by position, 2θ from 10° to 90°:
2θ (°)  d_spacing  I/Imax
14.1  6.298  44
21.7  4.096  19
24.5  3.636  52
32.9  2.719  76
43.1  2.099  37
44.0  2.058  100
44.2  2.048  41
48.7  1.868  49
63.5  1.466  22
72.6  1.303  18


The following is a calculated powder XRD pattern of NaCuNiAs. It was derived from a DFT-relaxed cell (GGA-PBE, Alexandria), using a wavelength of 1.5418 Å.
Intensities are scaled so that the largest is 100.

Structure:
a = 3.500 Å, b = 3.500 Å, c = 11.983 Å
α = 90.00°, β = 90.00°, γ = 90.00°
Atoms (fractional coordinates):
1 Na 0.250 0.250 0.210
2 Na 0.750 0.750 0.790
3 Cu 0.250 0.750 0.000
4 Cu 0.750 0.250 0.000
5 Ni 0.250 0.750 0.500
6 Ni 0.750 0.250 0.500
7 As 0.250 0.250 0.635
8 As 0.750 0.750 0.365

Largest 10 diffraction maxima, sorted by position, 2θ from 10° to 90°:
2θ (°)  d_spacing  I/Imax
14.8  5.991  100
29.6  3.022  55
34.1  2.632  19
39.4  2.287  88
45.4  1.997  13
47.7  1.908  70
52.3  1.750  38
59.5  1.554  13
61.2  1.514  13
71.7  1.316  13


The following is a calculated powder XRD pattern of NaCuAs2Se4. It was derived from a DFT-relaxed cell (GGA-PBE, Alexandria), using a wavelength of 1.5418 Å.
Intensities are scaled so that the largest is 100.

Structure:
a = 6.885 Å, b = 6.014 Å, c = 6.541 Å
α = 66.36°, β = 53.14°, γ = 60.50°
Atoms (fractional coordinates):
1 Na 0.000 0.000 0.000
2 Cu 0.570 0.570 0.430
3 As 0.292 0.292 0.208
4 As 0.792 0.792 0.708
5 Se 0.253 0.691 0.309
6 Se 0.492 0.973 0.508
7 Se 0.691 0.253 0.747
8 Se 0.973 0.492 0.027

Largest 10 diffraction maxima, sorted by position, 2θ from 10° to 90°:
2θ (°)  d_spacing  I/Imax
17.1  5.176  20
26.1  3.409  31
30.0  2.982  100
34.5  2.599  36
40.0  2.257  13
45.7  1.986  19
46.3  1.960  58
49.7  1.836  30
58.5  1.578  15
64.5  1.446  9


The following is a calculated powder XRD pattern of NaCu2AsSe4. It was derived from a DFT-relaxed cell (GGA-PBE, Alexandria), using a wavelength of 1.5418 Å.
Intensities are scaled so that the largest is 100.

Structure:
a = 6.761 Å, b = 6.761 Å, c = 6.761 Å
α = 126.06°, β = 126.06°, γ = 79.79°
Atoms (fractional coordinates):
1 Na 0.000 0.000 0.000
2 Cu 0.250 0.750 0.500
3 Cu 0.750 0.250 0.500
4 As 0.500 0.500 0.000
5 Se 0.135 0.577 0.000
6 Se 0.423 0.423 0.559
7 Se 0.577 0.135 0.000
8 Se 0.865 0.865 0.441

Largest 10 diffraction maxima, sorted by position, 2θ from 10° to 90°:
2θ (°)  d_spacing  I/Imax
16.8  5.279  17
17.1  5.187  6
26.8  3.327  100
41.7  2.168  27
45.8  1.980  39
50.2  1.817  30
57.4  1.606  9
60.4  1.533  7
73.4  1.291  6
79.0  1.212  11


The following is a calculated powder XRD pattern of NdCuAsP. It was derived from a DFT-relaxed cell (GGA-PBE, Alexandria), using a wavelength of 1.5418 Å.
Intensities are scaled so that the largest is 100.

Structure:
a = 5.634 Å, b = 5.634 Å, c = 4.140 Å
α = 111.53°, β = 111.53°, γ = 41.41°
Atoms (fractional coordinates):
1 Nd 0.000 0.000 0.000
2 Cu 0.761 0.761 0.261
3 As 0.631 0.631 0.632
4 P 0.384 0.384 0.383

Largest 10 diffraction maxima, sorted by position, 2θ from 10° to 90°:
2θ (°)  d_spacing  I/Imax
24.2  3.685  49
31.2  2.871  54
35.2  2.548  74
35.8  2.510  50
36.4  2.470  100
43.7  2.070  32
45.5  1.992  28
52.5  1.744  20
57.7  1.597  25
58.9  1.569  33


Which formula does entry 4 have?
Na3Cu4As4